# Fe2CuOsO6
Computed powder diffraction line list, CuKα. Input: the PBE+U geometry in Alexandria.
Lines closer than 0.1° are merged.

Atomic structure:
```
data_Fe2CuOsO6
_chemical_formula_sum 'Fe4 Cu2 Os2 O12'
_symmetry_space_group_name_H-M 'P n n m'
_symmetry_Int_Tables_number 58
_cell_length_a 5.029
_cell_length_b 5.225
_cell_length_c 8.481
_cell_angle_alpha 90.00
_cell_angle_beta 90.00
_cell_angle_gamma 90.00
loop_
_symmetry_equiv_pos_as_xyz
'x,y,z'
'-x,-y,-z'
'-x,-y,z'
'x,y,-z'
'x+1/2,-y+1/2,-z+1/2'
'-x+1/2,y+1/2,z+1/2'
'-x+1/2,y+1/2,-z+1/2'
'x+1/2,-y+1/2,z+1/2'
loop_
_atom_site_label
_atom_site_fract_x
_atom_site_fract_y
_atom_site_fract_z
Fe1 0.000 0.000 0.204
Cu1 0.000 0.500 0.500
Os1 0.000 0.500 0.000
O1 0.181 0.168 0.000
O2 0.226 0.664 0.163
```

Principal peaks in the range 10° ≤ 2θ ≤ 90°, in order of rising 2θ:
h k l	d/Å	Rel. int.
1 0 1	4.326	38
0 0 2	4.240	15
1 1 0	3.623	15
1 1 2	2.755	100
0 2 0	2.613	19
2 0 0	2.515	14
1 1 4	1.830	10
2 2 0	1.812	20
2 1 3	1.768	13
0 2 4	1.646	11
1 3 2	1.534	19
3 1 2	1.494	17